The following is a computed powder diffractogram of MgCo6O8F4. It was derived from a cell relaxed with PBE+U, using CuKα.
Peak positions follow from Bragg's law for the DFT cell and can differ from measured ones.

Structural model:
Unit cell a=5.8165 b=5.8866 c=7.5355 alpha=105.37 beta=99.51 gamma=115.62
Space group P1 (No. 1)
Symmetry-distinct sites (fractional):
Mg 0.0000 0.0000 0.0000 x1
Co 0.0009 0.0181 0.5094 x1
Co 0.0066 0.5074 0.0027 x1
Co 0.3349 0.5610 0.3803 x1
Co 0.3896 0.9720 0.8286 x1
Co 0.6504 0.0281 0.1912 x1
Co 0.6936 0.4294 0.6153 x1
O 0.0329 0.6953 0.8275 x1
O 0.3267 0.3159 0.5101 x1
O 0.3607 0.7143 0.1847 x1
O 0.5924 0.8519 0.9197 x1
O 0.6569 0.3022 0.8208 x1
O 0.7061 0.6811 0.4984 x1
O 0.7732 0.1890 0.4598 x1
O 0.9761 0.3146 0.1785 x1
F 0.0912 0.1806 0.8123 x1
F 0.2453 0.8126 0.5405 x1
F 0.4042 0.1798 0.1040 x1
F 0.9306 0.8317 0.1980 x1

Largest 12 diffraction maxima, in order of rising 2θ, 2θ from 5° to 70°:
(-1 1 1), 22.78°, I 100
(1 1 -1), 28.64°, I 83
(1 -2 2), 35.55°, I 30
(2 -1 1), 35.69°, I 22
(1 0 2), 36.24°, I 25
(0 1 -3), 36.43°, I 21
(2 0 -2), 37.20°, I 16
(-2 2 1), 39.48°, I 15
(3 0 0), 55.52°, I 16
(1 2 -4), 56.09°, I 16
(2 2 -2), 59.29°, I 15
(2 -2 4), 64.08°, I 17


The following is a computed powder diffractogram of LiFeF4. It was derived from a cell relaxed with PBE+U, using CuKα.
Peak positions follow from Bragg's law for the DFT cell and can differ from measured ones.

Structural model:
Unit cell a=5.2871 b=8.5331 c=8.2149 alpha=90.00 beta=112.20 gamma=90.00
Space group P2_1/c (No. 14)
Symmetry-distinct sites (fractional):
Li 0.1311 0.1888 0.4253 x4
Fe 0.4143 0.5373 0.6675 x4
F 0.1837 0.0891 0.2361 x4
F 0.2193 0.7229 0.6338 x4
F 0.2844 0.0613 0.6265 x4
F 0.3708 0.1212 0.9788 x4

Largest 12 diffraction maxima, in order of rising 2θ, 2θ from 5° to 70°:
(0 1 1), 15.61°, I 75
(1 0 0), 18.12°, I 74
(0 2 0), 20.82°, I 55
(1 0 -2), 23.59°, I 63
(0 1 2), 25.65°, I 20
(1 1 1), 27.23°, I 100
(1 2 0), 27.74°, I 48
(1 2 -2), 31.66°, I 20
(0 1 3), 36.96°, I 18
(2 2 -2), 41.38°, I 25
(2 2 -3), 45.88°, I 20
(1 4 -2), 49.07°, I 17


The following is a computed powder diffractogram of LiVO2F2. It was derived from a cell relaxed with PBE+U, using CuKα.
Peak positions follow from Bragg's law for the DFT cell and can differ from measured ones.

Structural model:
Unit cell a=5.8141 b=3.8948 c=6.9683 alpha=90.00 beta=101.98 gamma=90.00
Space group P2_1 (No. 4)
Symmetry-distinct sites (fractional):
Li 0.1862 0.0000 0.1685 x2
V 0.3170 0.0530 0.7092 x2
O 0.1533 0.0609 0.8800 x2
O 0.3981 0.5591 0.1912 x2
F 0.1896 0.0570 0.4400 x2
F 0.3130 0.5561 0.6701 x2

Largest 12 diffraction maxima, in order of rising 2θ, 2θ from 5° to 70°:
(0 0 1), 12.99°, I 40
(1 0 0), 15.58°, I 37
(1 0 -1), 18.12°, I 99
(1 0 1), 22.34°, I 90
(0 0 2), 26.15°, I 59
(0 1 1), 26.35°, I 87
(1 0 -2), 27.58°, I 61
(1 1 0), 27.76°, I 100
(1 1 -1), 29.30°, I 36
(2 0 0), 31.46°, I 91
(2 0 2), 45.60°, I 38
(0 2 0), 46.64°, I 56


The following is a computed powder diffractogram of Zn2Ni3O8. It was derived from a cell relaxed with PBE+U, using CuKα.
Peak positions follow from Bragg's law for the DFT cell and can differ from measured ones.

Structural model:
Unit cell a=5.7536 b=5.7536 c=9.1885 alpha=90.00 beta=90.00 gamma=120.00
Space group P6_3mc (No. 186)
Symmetry-distinct sites (fractional):
Zn 0.3333 0.6667 0.0000 x2
Zn 0.3333 0.6667 0.3795 x2
Ni 0.1661 0.3322 0.7118 x6
O 0.0000 0.0000 0.3135 x2
O 0.0392 0.5196 0.8291 x6
O 0.1561 0.3123 0.1070 x6
O 0.3333 0.6667 0.6044 x2

Largest 12 diffraction maxima, in order of rising 2θ, 2θ from 5° to 70°:
(0 0 2), 19.32°, I 48
(1 0 2), 26.39°, I 66
(1 0 3), 34.37°, I 100
(2 0 0), 36.05°, I 34
(1 1 2), 36.86°, I 90
(2 0 1), 37.40°, I 95
(2 0 2), 41.22°, I 19
(2 0 3), 47.02°, I 26
(2 1 3), 57.44°, I 53
(3 0 2), 59.15°, I 21
(2 0 5), 62.84°, I 63
(2 2 0), 64.82°, I 55


The following is a computed powder diffractogram of Sr2CrOsO6. It was derived from a cell relaxed with PBE+U, using CuKα.
Peak positions follow from Bragg's law for the DFT cell and can differ from measured ones.

Structural model:
Unit cell a=7.9226 b=7.9226 c=7.9226 alpha=90.00 beta=90.00 gamma=90.00
Space group Fm-3m (No. 225)
Symmetry-distinct sites (fractional):
Sr 0.2500 0.2500 0.2500 x8
Cr 0.0000 0.0000 0.0000 x4
Os 0.0000 0.0000 0.5000 x4
O 0.0000 0.0000 0.2513 x24

Largest 10 diffraction maxima, in order of rising 2θ, 2θ from 5° to 70°:
(1 1 1), 19.41°, I 26
(2 0 0), 22.44°, I 8
(2 2 0), 31.95°, I 100
(3 1 1), 37.66°, I 15
(4 0 0), 45.81°, I 32
(3 3 1), 50.19°, I 7
(4 2 0), 51.59°, I 3
(4 2 2), 56.94°, I 39
(5 1 1), 60.74°, I 6
(4 4 0), 66.80°, I 19


The following is a computed powder diffractogram of K3CoPCO7. It was derived from a cell relaxed with PBE+U, using CuKα.
Peak positions follow from Bragg's law for the DFT cell and can differ from measured ones.

Structural model:
Unit cell a=6.9844 b=9.5913 c=11.2947 alpha=89.98 beta=89.97 gamma=89.95
Space group P1 (No. 1)
Symmetry-distinct sites (fractional):
K 0.0000 0.0000 0.0000 x1
K 0.9997 0.0007 0.5006 x1
K 0.0202 0.5786 0.7430 x1
K 0.0212 0.5768 0.2463 x1
K 0.2591 0.3603 0.9943 x1
K 0.2601 0.3611 0.4944 x1
K 0.4987 0.5769 0.2448 x1
K 0.4997 0.5780 0.7459 x1
K 0.5209 0.0030 0.5012 x1
K 0.5218 0.0004 0.0005 x1
K 0.7601 0.2175 0.2510 x1
K 0.7618 0.2187 0.7505 x1
Co 0.2611 0.9379 0.2531 x1
Co 0.2605 0.9376 0.7529 x1
Co 0.7523 0.6439 0.4914 x1
Co 0.7620 0.6396 0.9929 x1
P 0.2604 0.7096 0.5059 x1
P 0.2610 0.7090 0.0062 x1
P 0.7603 0.8692 0.7402 x1
P 0.7610 0.8685 0.2394 x1
C 0.2601 0.2050 0.2446 x1
C 0.2604 0.2053 0.7447 x1
C 0.7595 0.3736 0.5001 x1
C 0.7607 0.3727 0.0007 x1
O 0.0794 0.6150 0.9930 x1
O 0.0800 0.6157 0.4917 x1
O 0.2572 0.1356 0.8444 x1
O 0.2594 0.3392 0.2421 x1
O 0.2604 0.1357 0.3446 x1
O 0.2595 0.7765 0.6322 x1
O 0.2606 0.1302 0.1474 x1
O 0.2613 0.3396 0.7426 x1
O 0.2606 0.7761 0.1322 x1
O 0.2615 0.8246 0.9099 x1
O 0.2625 0.8262 0.4105 x1
O 0.2626 0.1310 0.6473 x1
O 0.4422 0.6142 0.9936 x1
O 0.4420 0.6151 0.4932 x1
O 0.5791 0.9640 0.7517 x1
O 0.5797 0.9629 0.2528 x1
O 0.7545 0.4421 0.4000 x1
O 0.7598 0.2384 0.0028 x1
O 0.7605 0.4424 0.9009 x1
O 0.7600 0.7522 0.3353 x1
O 0.7601 0.7548 0.8372 x1
O 0.7604 0.7997 0.6149 x1
O 0.7612 0.2391 0.5029 x1
O 0.7609 0.8018 0.1134 x1
O 0.7620 0.4470 0.0981 x1
O 0.7630 0.4482 0.5973 x1
O 0.9423 0.9626 0.2529 x1
O 0.9416 0.9636 0.7519 x1

Largest 12 diffraction maxima, in order of rising 2θ, 2θ from 5° to 70°:
(0 1 0), 9.22°, I 54
(0 1 -2), 18.23°, I 16
(2 0 0), 25.51°, I 32
(1 2 2), 27.54°, I 15
(0 3 0), 27.91°, I 15
(2 1 -2), 31.53°, I 97
(0 0 4), 31.69°, I 100
(0 3 -2), 32.17°, I 42
(1 -2 4), 39.21°, I 14
(0 3 -4), 42.72°, I 38
(-2 2 4), 45.43°, I 17
(4 0 0), 52.40°, I 19